For La2ScCoO6, a structure optimized by DFT (GGA+U) gives the theoretical powder XRD pattern in this record (Cu Kα (λ = 1.5418 Å)).
Intensities are scaled so that the largest is 100.

Peak list (10 most intense, 10 to 90 degrees two-theta, sorted by position)
Position (°2θ), d/Å, I (rel.)
22.66, 3.925, 16.4
32.26, 2.775, 100.0
39.78, 2.266, 21.5
46.26, 1.962, 33.1
52.11, 1.755, 8.7
57.52, 1.602, 38.1
67.50, 1.388, 19.3
76.80, 1.241, 16.4
81.30, 1.183, 6.9
85.75, 1.133, 6.5

Crystal structure
Lattice parameters (Å, degrees): 5.551 5.551 5.551 60.00 60.00 60.00
Fractional positions:
La (0.250, 0.250, 0.250)
La (0.750, 0.750, 0.750)
Sc (0.000, 0.000, 0.000)
Co (0.500, 0.500, 0.500)
O (0.259, 0.259, 0.741)
O (0.259, 0.741, 0.259)
O (0.259, 0.741, 0.741)
O (0.741, 0.259, 0.259)
O (0.741, 0.259, 0.741)
O (0.741, 0.741, 0.259)